Record 1
The following is a computed PXRD pattern of Tl2AsS3. It was derived from a PBE-relaxed structure, using Cu Kα X-rays.
Lines closer than 0.1° are merged.

Atomic structure:
Cell: 8.132 8.132 7.011 Å, 102.38 102.38 45.23°
Fractional coordinates of all 12 atoms:
Tl: 0.166 0.167 0.583
Tl: 0.167 0.166 0.083
Tl: 0.833 0.834 0.917
Tl: 0.834 0.833 0.417
As: 0.434 0.566 0.750
As: 0.566 0.434 0.250
S: 0.074 0.926 0.750
S: 0.380 0.384 0.942
S: 0.384 0.380 0.442
S: 0.616 0.620 0.558
S: 0.620 0.616 0.058
S: 0.926 0.074 0.250

Main lines, sorted by position (10° ≤ 2θ ≤ 90°):
d/Å, 2theta, I/Imax
5.749, 15.41, 18
3.841, 23.15, 100
3.127, 28.54, 56
3.058, 29.21, 50
2.844, 31.45, 91
2.820, 31.73, 16
2.434, 36.93, 24
2.104, 42.98, 66
1.921, 47.33, 20
1.904, 47.76, 40

---

Record 2
The following is a computed PXRD pattern of Ta3Mo5. It was derived from a PBE-relaxed structure, using Cu Kα X-rays.
Lines closer than 0.1° are merged.

Atomic structure:
Cell: 7.846 7.846 7.846 Å, 33.78 33.78 33.78°
Fractional coordinates of all 8 atoms:
Ta: 0.000 0.000 0.000
Ta: 0.127 0.127 0.127
Ta: 0.504 0.504 0.504
Mo: 0.253 0.253 0.253
Mo: 0.377 0.377 0.377
Mo: 0.627 0.627 0.627
Mo: 0.750 0.750 0.750
Mo: 0.876 0.876 0.876

Main lines, sorted by position (10° ≤ 2θ ≤ 90°):
d/Å, 2theta, I/Imax
3.719, 23.92, 11
2.280, 39.53, 100
2.269, 39.73, 98
1.941, 46.80, 6
1.608, 57.30, 33
1.316, 71.71, 17
1.314, 71.85, 34
1.308, 72.25, 17
1.140, 85.12, 11
1.134, 85.63, 11

---

Record 3
The following is a computed PXRD pattern of Tm3Ge4Pd4. It was derived from a PBE-relaxed structure, using Cu Kα X-rays.
Lines closer than 0.1° are merged.

Atomic structure:
Cell: 8.069 8.069 8.069 Å, 150.30 127.87 61.15°
Fractional coordinates of all 11 atoms:
Tm: 0.000 0.000 0.000
Tm: 0.374 0.874 0.500
Tm: 0.626 0.126 0.500
Ge: 0.218 0.218 0.000
Ge: 0.312 0.500 0.812
Ge: 0.688 0.500 0.188
Ge: 0.782 0.782 0.000
Pd: 0.027 0.325 0.701
Pd: 0.376 0.675 0.701
Pd: 0.624 0.325 0.299
Pd: 0.973 0.675 0.299

Main lines, sorted by position (10° ≤ 2θ ≤ 90°):
d/Å, 2theta, I/Imax
2.643, 33.92, 100
2.587, 34.67, 30
2.491, 36.06, 86
2.327, 38.69, 23
2.316, 38.89, 16
2.105, 42.96, 34
2.068, 43.78, 38
1.615, 57.01, 14
1.475, 63.01, 22
1.251, 76.05, 15

---

Record 4
The following is a computed PXRD pattern of GaBr. It was derived from a PBE-relaxed structure, using Cu Kα X-rays.
Lines closer than 0.1° are merged.

Atomic structure:
Cell: 7.182 7.182 7.182 Å, 100.88 100.88 128.50°
Fractional coordinates of all 8 atoms:
Ga: 0.069 0.723 0.792
Ga: 0.277 0.069 0.346
Ga: 0.723 0.931 0.654
Ga: 0.931 0.277 0.208
Br: 0.200 0.440 0.640
Br: 0.440 0.800 0.240
Br: 0.560 0.200 0.760
Br: 0.800 0.560 0.360

Main lines, sorted by position (10° ≤ 2θ ≤ 90°):
d/Å, 2theta, I/Imax
6.469, 13.69, 42
3.235, 27.58, 57
3.120, 28.61, 73
2.893, 30.91, 100
2.246, 40.16, 41
2.121, 42.62, 81
2.046, 44.28, 27
1.711, 53.57, 30
1.555, 59.42, 18
1.373, 68.31, 19

---

Record 5
The following is a computed PXRD pattern of LaThSe4. It was derived from a PBE-relaxed structure, using Cu Kα X-rays.
Lines closer than 0.1° are merged.

Atomic structure:
Cell: 7.763 7.763 10.630 Å, 90.00 90.00 148.93°
Fractional coordinates of all 12 atoms:
La: 0.200 0.800 0.500
La: 0.800 0.200 0.000
Th: 0.440 0.560 0.641
Th: 0.560 0.440 0.141
Se: 0.066 0.934 0.713
Se: 0.141 0.859 0.951
Se: 0.212 0.788 0.203
Se: 0.432 0.568 0.925
Se: 0.568 0.432 0.425
Se: 0.788 0.212 0.703
Se: 0.859 0.141 0.451
Se: 0.934 0.066 0.213

Main lines, sorted by position (10° ≤ 2θ ≤ 90°):
d/Å, 2theta, I/Imax
5.315, 16.68, 32
4.333, 20.50, 26
3.196, 27.91, 84
3.059, 29.20, 100
2.656, 33.74, 35
2.572, 34.88, 25
2.428, 37.02, 27
2.371, 37.95, 98
2.215, 40.74, 37
2.079, 43.52, 33

---

Record 6
The following is a computed PXRD pattern of Y2P2Ir5. It was derived from a PBE-relaxed structure, using Cu Kα X-rays.
Lines closer than 0.1° are merged.

Atomic structure:
Cell: 4.112 4.112 8.753 Å, 90.00 90.00 90.00°
Fractional coordinates of all 9 atoms:
Y: 0.000 0.000 0.000
Y: 0.000 0.000 0.500
P: 0.500 0.500 0.135
P: 0.500 0.500 0.865
Ir: 0.000 0.500 0.260
Ir: 0.000 0.500 0.740
Ir: 0.500 0.000 0.260
Ir: 0.500 0.000 0.740
Ir: 0.500 0.500 0.500

Main lines, sorted by position (10° ≤ 2θ ≤ 90°):
d/Å, 2theta, I/Imax
8.753, 10.11, 15
4.377, 20.29, 13
2.422, 37.12, 100
2.188, 41.25, 16
2.057, 44.03, 43
1.499, 61.92, 20
1.454, 64.04, 12
1.304, 72.48, 14
1.247, 76.40, 25
1.211, 79.07, 10

---

Record 7
The following is a computed PXRD pattern of NaCeIn2I6. It was derived from a PBE-relaxed structure, using Cu Kα X-rays.
Lines closer than 0.1° are merged.

Atomic structure:
Cell: 8.808 8.808 8.808 Å, 57.95 57.95 57.95°
Fractional coordinates of all 10 atoms:
Na: 0.000 0.000 0.000
Ce: 0.495 0.495 0.495
In: 0.294 0.294 0.294
In: 0.800 0.800 0.800
I: 0.133 0.714 0.368
I: 0.235 0.633 0.847
I: 0.368 0.133 0.714
I: 0.633 0.847 0.235
I: 0.714 0.368 0.133
I: 0.847 0.235 0.633

Main lines, sorted by position (10° ≤ 2θ ≤ 90°):
d/Å, 2theta, I/Imax
6.126, 14.46, 23
3.684, 24.16, 100
3.501, 25.44, 16
3.063, 29.15, 32
2.773, 32.28, 73
2.488, 36.09, 14
2.464, 36.47, 40
2.114, 42.77, 22
2.041, 44.38, 16
1.620, 56.83, 14

---

Record 8
The following is a computed PXRD pattern of TlBi2Au. It was derived from a PBE-relaxed structure, using Cu Kα X-rays.
Lines closer than 0.1° are merged.

Atomic structure:
Cell: 4.549 8.508 6.389 Å, 90.00 110.85 90.00°
Fractional coordinates of all 8 atoms:
Tl: 0.056 0.250 0.113
Tl: 0.944 0.750 0.887
Bi: 0.365 0.040 0.725
Bi: 0.365 0.460 0.725
Bi: 0.635 0.540 0.275
Bi: 0.635 0.960 0.275
Au: 0.212 0.750 0.432
Au: 0.788 0.250 0.568

Main lines, sorted by position (10° ≤ 2θ ≤ 90°):
d/Å, 2theta, I/Imax
3.007, 29.71, 100
2.995, 29.83, 25
2.825, 31.67, 60
2.817, 31.77, 28
2.446, 36.74, 63
2.359, 38.15, 28
2.274, 39.63, 36
2.127, 42.50, 18
1.665, 55.17, 22
1.597, 57.72, 21

---

Record 9
The following is a computed PXRD pattern of SrScIn2Re. It was derived from a PBE-relaxed structure, using Cu Kα X-rays.
Lines closer than 0.1° are merged.

Atomic structure:
Cell: 5.624 5.624 4.867 Å, 90.00 90.00 90.00°
Fractional coordinates of all 5 atoms:
Sr: 0.000 0.000 0.000
Sc: 0.500 0.500 0.500
In: 0.000 0.500 0.000
In: 0.500 0.000 0.000
Re: 0.000 0.000 0.500

Main lines, sorted by position (10° ≤ 2θ ≤ 90°):
d/Å, 2theta, I/Imax
5.624, 15.76, 76
3.079, 29.00, 100
2.812, 31.82, 85
2.515, 35.70, 21
2.434, 36.94, 32
1.988, 45.63, 31
1.840, 49.54, 50
1.670, 54.97, 32
1.540, 60.09, 27
1.117, 87.29, 29

---

Record 10
The following is a computed PXRD pattern of LiBeV. It was derived from a PBE-relaxed structure, using Cu Kα X-rays.
Lines closer than 0.1° are merged.

Atomic structure:
Cell: 2.271 6.850 4.494 Å, 90.00 90.00 90.00°
Fractional coordinates of all 6 atoms:
Li: 0.169 0.000 0.000
Li: 0.831 0.000 0.500
Be: 0.500 0.304 0.250
Be: 0.500 0.696 0.750
V: 0.000 0.374 0.750
V: 0.000 0.626 0.250

Main lines, sorted by position (10° ≤ 2θ ≤ 90°):
d/Å, 2theta, I/Imax
6.850, 12.92, 100
3.757, 23.68, 39
2.724, 32.88, 40
2.283, 39.47, 12
2.271, 39.70, 12
2.247, 40.13, 13
2.135, 42.33, 16
2.036, 44.51, 11
1.943, 46.74, 22
1.744, 52.46, 26